Record 1
Re3Te7I7: theoretical XRD peak list (CuKα), based on a structure optimized by DFT (GGA-PBE).
Lines closer than 0.1° are merged.

Top 12 peaks for 15° ≤ 2θ ≤ 90°, in order of rising 2θ:
d_spacing, 2theta, I_rel
4.909, 18.1, 51
3.583, 24.8, 87
3.546, 25.1, 53
3.458, 25.8, 76
3.442, 25.9, 51
3.341, 26.7, 100
3.287, 27.1, 69
2.970, 30.1, 48
2.949, 30.3, 59
2.026, 44.7, 51
1.840, 49.5, 53
1.828, 49.9, 51

Structural model:
Cell lengths 11.2574, 11.3270, 12.3222 Å; angles 73.69, 86.23, 62.82 degrees
Space group P-1 (No. 2)
Symmetry-distinct sites (fractional):
Re1 0.0158 0.3921 0.3992
Re2 0.1142 0.5676 0.4108
Re3 0.1531 0.3472 0.5919
Te1 0.0233 0.3885 0.7818
Te2 0.0385 0.2173 0.2779
Te3 0.0551 0.1720 0.5823
Te4 0.2531 0.5217 0.6037
Te5 0.2799 0.6668 0.2958
Te6 0.2835 0.3080 0.3989
Te7 0.3850 0.1383 0.6973
I1 0.1144 0.9051 0.1258
I2 0.1708 0.6454 0.8945
I3 0.2314 0.2142 0.1230
I4 0.2902 0.8445 0.4481
I5 0.3359 0.9174 0.8203
I6 0.3885 0.5070 0.1293
I7 0.4483 0.2030 0.8826

=====

Record 2
SnAsPd4: theoretical XRD peak list (CuKα), based on a structure optimized by DFT (GGA-PBE).
Lines closer than 0.1° are merged.

Top 12 peaks for 15° ≤ 2θ ≤ 90°, in order of rising 2θ:
d_spacing, 2theta, I_rel
2.451, 36.7, 100
2.417, 37.2, 21
2.393, 37.6, 27
2.373, 37.9, 27
2.342, 38.4, 15
2.225, 40.6, 34
2.183, 41.4, 14
2.133, 42.4, 30
2.068, 43.8, 36
1.652, 55.6, 24
1.306, 72.4, 17
1.291, 73.4, 15

Structural model:
Cell lengths 7.0920, 3.3035, 17.0614 Å; angles 90.00, 90.00, 90.00 degrees
Space group Pnma (No. 62)
Symmetry-distinct sites (fractional):
Sn1 0.2099 0.2500 0.1879
As1 0.2412 0.7500 0.4457
Pd1 0.0183 0.7500 0.2903
Pd2 0.0431 0.7500 0.5677
Pd3 0.1013 0.7500 0.0586
Pd4 0.1614 0.7500 0.8407

=====

Record 3
TlSn2Se4: theoretical XRD peak list (CuKα), based on a structure optimized by DFT (GGA-PBE).
Lines closer than 0.1° are merged.

Top 12 peaks for 15° ≤ 2θ ≤ 90°, in order of rising 2θ:
d_spacing, 2theta, I_rel
3.814, 23.3, 50
3.074, 29.0, 41
3.052, 29.3, 22
2.980, 30.0, 100
2.789, 32.1, 38
2.582, 34.7, 13
2.249, 40.1, 38
2.179, 41.4, 18
2.168, 41.7, 17
2.053, 44.1, 14
2.043, 44.3, 80
1.701, 53.9, 14

Structural model:
Cell lengths 4.0837, 13.7844, 13.7385 Å; angles 90.00, 90.00, 90.00 degrees
Space group Cmcm (No. 63)
Symmetry-distinct sites (fractional):
Tl1 0.0000 0.0926 0.2500
Sn1 0.0000 0.3610 0.0633
Se1 0.0000 0.0000 0.0000
Se2 0.0000 0.2659 0.6158
Se3 0.0000 0.4320 0.2500

=====

Record 4
Cs3Pm3NdTe8: theoretical XRD peak list (CuKα), based on a structure optimized by DFT (GGA-PBE).
Lines closer than 0.1° are merged.

Top 12 peaks for 15° ≤ 2θ ≤ 90°, in order of rising 2θ:
d_spacing, 2theta, I_rel
3.423, 26.0, 100
2.787, 32.1, 14
2.595, 34.6, 34
2.276, 39.6, 36
2.116, 42.7, 10
1.895, 48.0, 19
1.763, 51.9, 8
1.711, 53.5, 10
1.617, 56.9, 9
1.456, 63.9, 16
1.368, 68.6, 9
1.314, 71.8, 6

Structural model:
Cell lengths 15.7728, 9.1023, 10.5948 Å; angles 90.00, 119.78, 90.00 degrees
Space group C2/m (No. 12)
Symmetry-distinct sites (fractional):
Cs1 0.0000 0.0000 0.0000
Cs2 0.2500 0.2500 0.0000
Pm1 0.0000 0.5000 0.5000
Pm2 0.2500 0.2500 0.5000
Nd1 0.0000 0.0000 0.5000
Te1 0.0192 0.2524 0.3056
Te2 0.2316 0.5000 0.6946
Te3 0.2332 0.0000 0.6944

=====

Record 5
PuGa2Ag: theoretical XRD peak list (CuKα), based on a structure optimized by DFT (GGA-PBE).
Lines closer than 0.1° are merged.

Top 12 peaks for 15° ≤ 2θ ≤ 90°, in order of rising 2θ:
d_spacing, 2theta, I_rel
4.136, 21.5, 15
4.089, 21.7, 16
3.033, 29.5, 18
2.664, 33.6, 84
2.528, 35.5, 100
2.428, 37.0, 21
2.404, 37.4, 28
2.281, 39.5, 17
2.230, 40.4, 41
2.128, 42.5, 17
1.635, 56.3, 21
1.338, 70.4, 14

Structural model:
Cell lengths 7.0211, 4.4608, 10.2358 Å; angles 90.00, 90.00, 90.00 degrees
Space group Pnma (No. 62)
Symmetry-distinct sites (fractional):
Pu1 0.2056 0.2500 0.1738
Ga1 0.0865 0.2500 0.8449
Ga2 0.1983 0.7500 0.9657
Ag1 0.0351 0.7500 0.4056

=====

Record 6
TlAu5Se4: theoretical XRD peak list (CuKα), based on a structure optimized by DFT (GGA-PBE).
Lines closer than 0.1° are merged.

Top 12 peaks for 15° ≤ 2θ ≤ 90°, in order of rising 2θ:
d_spacing, 2theta, I_rel
5.172, 17.1, 23
4.231, 21.0, 46
3.384, 26.3, 28
3.290, 27.1, 30
3.263, 27.3, 16
2.911, 30.7, 17
2.885, 31.0, 100
2.267, 39.8, 20
2.193, 41.2, 14
2.011, 45.1, 24
1.763, 51.9, 11
1.275, 74.4, 12

Structural model:
Cell lengths 4.0218, 8.2839, 8.9861 Å; angles 75.12, 77.48, 89.96 degrees
Space group P-1 (No. 2)
Symmetry-distinct sites (fractional):
Tl1 0.0000 0.0000 0.0000
Au1 0.0000 0.5000 0.0000
Au2 0.2676 0.6120 0.4632
Au3 0.3504 0.2283 0.3013
Se1 0.2086 0.2000 0.5865
Se2 0.4935 0.2941 0.0135

=====

Record 7
Rb3Be2Te4: theoretical XRD peak list (CuKα), based on a structure optimized by DFT (GGA-PBE).
Lines closer than 0.1° are merged.

Top 12 peaks for 15° ≤ 2θ ≤ 90°, in order of rising 2θ:
d_spacing, 2theta, I_rel
4.403, 20.2, 33
4.054, 21.9, 23
3.795, 23.4, 21
3.304, 27.0, 24
3.240, 27.5, 100
3.219, 27.7, 22
3.145, 28.4, 42
2.975, 30.0, 27
2.935, 30.5, 47
2.816, 31.8, 34
2.575, 34.8, 39
2.400, 37.5, 21

Structural model:
Cell lengths 17.6541, 11.6577, 6.9323 Å; angles 90.00, 93.99, 90.00 degrees
Space group C2/c (No. 15)
Symmetry-distinct sites (fractional):
Rb1 0.0000 0.1413 0.2500
Rb2 0.1659 0.3724 0.5439
Be1 0.2152 0.1341 0.9639
Te1 0.1497 0.3140 0.0314
Te2 0.1608 0.0289 0.6434

=====

Record 8
Hf6TlP: theoretical XRD peak list (CuKα), based on a structure optimized by DFT (GGA-PBE).
Lines closer than 0.1° are merged.

Top 12 peaks for 15° ≤ 2θ ≤ 90°, in order of rising 2θ:
d_spacing, 2theta, I_rel
3.336, 26.7, 23
2.807, 31.9, 100
2.709, 33.1, 25
2.445, 36.8, 32
2.340, 38.5, 75
2.321, 38.8, 67
1.683, 54.5, 37
1.570, 58.8, 42
1.473, 63.1, 23
1.301, 72.7, 23
1.243, 76.6, 15
1.209, 79.2, 10

Structural model:
Cell lengths 9.2830, 9.2830, 7.3342 Å; angles 90.00, 90.00, 120.00 degrees
Space group R-3m (No. 166, hexagonal axes)
Symmetry-distinct sites (fractional):
Hf1 0.0506 0.5253 0.3077
Tl1 0.0000 0.0000 0.0000
P1 0.0000 0.0000 0.5000

=====

Record 9
HoAlRu2C: theoretical XRD peak list (CuKα), based on a structure optimized by DFT (GGA-PBE).
Lines closer than 0.1° are merged.

Top 12 peaks for 15° ≤ 2θ ≤ 90°, in order of rising 2θ:
d_spacing, 2theta, I_rel
3.272, 27.3, 19
3.044, 29.3, 35
2.692, 33.3, 73
2.616, 34.3, 40
2.578, 34.8, 100
2.524, 35.6, 37
2.219, 40.7, 44
1.940, 46.8, 29
1.812, 50.4, 14
1.558, 59.3, 16
1.514, 61.2, 28
1.460, 63.7, 23

Structural model:
Cell lengths 3.8790, 11.2194, 7.2491 Å; angles 90.00, 90.00, 90.00 degrees
Space group Cmcm (No. 63)
Symmetry-distinct sites (fractional):
Ho1 0.0000 0.0473 0.2500
Al1 0.0000 0.2297 0.7500
Ru1 0.0000 0.3375 0.0554
C1 0.0000 0.5000 0.0000

=====

Record 10
CaSm3Se4: theoretical XRD peak list (CuKα), based on a structure optimized by DFT (GGA-PBE).
Lines closer than 0.1° are merged.

Top 12 peaks for 15° ≤ 2θ ≤ 90°, in order of rising 2θ:
d_spacing, 2theta, I_rel
5.906, 15.0, 9
4.176, 21.3, 8
3.410, 26.1, 9
2.953, 30.3, 100
2.641, 33.9, 5
2.411, 37.3, 4
2.088, 43.3, 74
1.781, 51.3, 4
1.705, 53.8, 26
1.476, 63.0, 12
1.321, 71.4, 33
1.205, 79.5, 25

Structural model:
Cell lengths 5.9056, 5.9056, 5.9056 Å; angles 90.00, 90.00, 90.00 degrees
Space group Pm-3m (No. 221)
Symmetry-distinct sites (fractional):
Ca1 0.0000 0.0000 0.0000
Sm1 0.0000 0.5000 0.5000
Se1 0.0000 0.0000 0.5000
Se2 0.5000 0.5000 0.5000